1.
Starting from DFT lattice parameters and positions (PBE), the X-ray powder pattern of NdEr5As6 was simulated for Cu Kα (λ = 1.5418 Å).
Lines closer than 0.1° are merged.

Main lines, low angle first (2θ from 10° to 80°):
2theta  Rel. int.  (hkl)
26.53  24  2 0 0
30.72  100  1 3 1
44.00  74  2 0 2
52.12  12  3 3 1
54.62  26  4 0 0
63.99  12  2 6 2
70.53  5  4 0 2
72.65  33  3 3 3

Cell and atoms:
Lattice parameters (Å, degrees): 7.1292 12.3465 7.1275 90.00 109.46 90.00
Space group C2/m (No. 12)
Inequivalent atoms, fractional coordinates:
Nd 0.0000 0.0000 0.0000 x2
Er 0.0000 0.1650 0.5000 x4
Er 0.0000 0.3328 0.0000 x4
Er 0.0000 0.5000 0.5000 x2
As 0.2453 0.3302 0.7457 x8
As 0.2446 0.5000 0.2532 x4



2.
Starting from DFT lattice parameters and positions (PBE), the X-ray powder pattern of Nd2YErAs4 was simulated for Cu Kα (λ = 1.5418 Å).
Lines closer than 0.1° are merged.

Main lines, low angle first (2θ from 10° to 80°):
2theta  Rel. int.  (hkl)
12.94  2  0 0 1
26.05  15  2 0 0
30.17  100  1 1 1
43.19  74  0 2 0
51.14  7  3 1 1
53.59  26  0 0 4
62.74  12  2 2 2
69.09  2  2 0 4
71.17  28  1 3 1
71.22  5  5 1 -3
79.19  19  2 0 -6
79.30  6  5 1 1

Cell and atoms:
Lattice parameters (Å, degrees): 7.2486 4.1924 7.2573 90.00 109.49 90.00
Space group P2/m (No. 10)
Inequivalent atoms, fractional coordinates:
Nd 0.0000 0.0000 0.0000 x1
Nd 0.0000 0.5000 0.5000 x1
Y 0.5000 0.0000 0.5000 x1
Er 0.5000 0.5000 0.0000 x1
As 0.2597 0.5000 0.2519 x2
As 0.2607 0.0000 0.7549 x2



3.
Starting from DFT lattice parameters and positions (PBE), the X-ray powder pattern of Er6Ni20As13 was simulated for Cu Kα (λ = 1.5418 Å).
Lines closer than 0.1° are merged.

Main lines, low angle first (2θ from 10° to 80°):
2theta  Rel. int.  (hkl)
33.16  21  3 0 1
34.44  11  3 2 0
35.96  33  2 2 1
36.27  12  1 4 0
36.85  100  3 1 1
41.85  12  2 3 1
42.13  12  2 4 0
44.44  13  1 5 0
47.10  31  0 0 2
50.19  33  2 5 0
55.92  24  5 2 1
71.28  23  2 5 2

Cell and atoms:
Lattice parameters (Å, degrees): 13.1066 13.1066 3.8590 90.00 90.00 120.00
Space group P-6 (No. 174)
Inequivalent atoms, fractional coordinates:
Er 0.0531 0.1961 0.0000 x3
Er 0.5225 0.3840 0.5000 x3
Ni 0.0000 0.0000 0.5000 x1
Ni 0.0173 0.4199 0.0000 x3
Ni 0.0863 0.7424 0.5000 x3
Ni 0.1334 0.5751 0.5000 x3
Ni 0.2530 0.5177 0.0000 x3
Ni 0.3132 0.2307 0.0000 x3
Ni 0.3531 0.1024 0.5000 x3
Ni 0.6667 0.3333 0.0000 x1
As 0.0520 0.6183 0.0000 x3
As 0.1026 0.3833 0.5000 x3
As 0.1945 0.1406 0.5000 x3
As 0.3333 0.6667 0.5000 x1
As 0.4719 0.1903 0.0000 x3



4.
Starting from DFT lattice parameters and positions (PBE), the X-ray powder pattern of Er3Ni7As4 was simulated for Cu Kα (λ = 1.5418 Å).
Lines closer than 0.1° are merged.

Main lines, low angle first (2θ from 10° to 80°):
2theta  Rel. int.  (hkl)
24.69  17  1 1 -1
31.88  45  3 1 0
37.08  19  0 0 3
37.49  83  1 1 2
37.80  54  3 1 -3
38.12  100  5 1 -2
40.25  20  4 0 -4
41.09  18  5 1 -3
44.17  18  5 1 0
45.31  29  6 0 0
46.10  51  0 2 0
66.63  18  6 2 0

Cell and atoms:
Lattice parameters (Å, degrees): 14.8007 3.9382 8.9646 90.00 125.77 90.00
Space group C2/m (No. 12)
Inequivalent atoms, fractional coordinates:
Er 0.0000 0.0000 0.0000 x2
Er 0.1771 0.5000 0.6679 x4
Ni 0.0000 0.0000 0.5000 x2
Ni 0.0055 0.5000 0.2878 x4
Ni 0.1458 0.0000 0.4094 x4
Ni 0.1891 0.5000 0.0274 x4
As 0.1122 0.0000 0.8287 x4
As 0.1646 0.5000 0.2775 x4



5.
Starting from DFT lattice parameters and positions (PBE), the X-ray powder pattern of Er8NiTe4As3 was simulated for Cu Kα (λ = 1.5418 Å).
Lines closer than 0.1° are merged.

Main lines, low angle first (2θ from 10° to 80°):
2theta  Rel. int.  (hkl)
26.17  8  2 2 0
30.10  100  4 0 0
32.77  9  4 0 -3
42.64  32  2 2 2
43.55  38  6 2 -2
53.85  19  4 4 0
59.58  7  6 2 -5
62.58  10  8 0 0
70.34  11  6 2 2
71.65  16  10 2 -2
79.33  7  8 4 0
79.95  6  12 0 -4

Cell and atoms:
Lattice parameters (Å, degrees): 14.4000 8.3125 8.4876 90.00 124.46 90.00
Space group C2/m (No. 12)
Inequivalent atoms, fractional coordinates:
Er 0.0088 0.2388 0.2876 x8
Er 0.2319 0.0000 0.7142 x4
Er 0.2392 0.5000 0.7178 x4
Ni 0.0000 0.0000 0.5000 x2
Te 0.0000 0.0000 0.0000 x2
Te 0.0000 0.5000 0.0000 x2
Te 0.2500 0.2500 0.0000 x4
As 0.0000 0.5000 0.5000 x2
As 0.2500 0.2500 0.5000 x4



6.
Starting from DFT lattice parameters and positions (PBE), the X-ray powder pattern of ErNpAs2Rh5 was simulated for Cu Kα (λ = 1.5418 Å).
Lines closer than 0.1° are merged.

Main lines, low angle first (2θ from 10° to 80°):
2theta  Rel. int.  (hkl)
22.55  47  1 0 0
23.15  26  0 0 3
23.85  45  1 0 1
32.54  56  1 0 3
33.06  32  1 1 1
35.78  79  1 1 2
39.96  48  1 1 3
45.26  100  1 1 4
46.04  76  2 0 0
47.33  25  0 0 6
67.15  25  2 2 0
68.17  34  2 0 6

Cell and atoms:
Lattice parameters (Å, degrees): 3.9426 3.9426 11.5242 90.00 90.00 90.00
Space group P4/mmm (No. 123)
Inequivalent atoms, fractional coordinates:
Er 0.0000 0.0000 0.0000 x1
Np 0.5000 0.5000 0.5000 x1
As 0.5000 0.5000 0.2065 x2
Rh 0.0000 0.5000 0.3410 x4
Rh 0.5000 0.5000 0.0000 x1



7.
Starting from DFT lattice parameters and positions (PBE), the X-ray powder pattern of Er2AsO5 was simulated for Cu Kα (λ = 1.5418 Å).
Lines closer than 0.1° are merged.

Main lines, low angle first (2θ from 10° to 80°):
2theta  Rel. int.  (hkl)
16.50  9  1 0 2
29.46  100  2 0 3
30.06  91  0 1 3
34.18  46  2 1 0
35.12  22  0 0 6
48.32  14  4 0 0
49.84  67  0 2 0
57.96  26  4 1 3
59.01  28  2 2 3
59.56  12  2 0 9
59.91  11  0 1 9
61.12  10  4 0 6

Cell and atoms:
Lattice parameters (Å, degrees): 7.5347 3.6550 15.3310 90.00 90.00 90.00
Space group Pnma (No. 62)
Inequivalent atoms, fractional coordinates:
Er 0.1272 0.2500 0.2393 x4
Er 0.1392 0.2500 0.5776 x4
As 0.1484 0.2500 0.9177 x4
O 0.0866 0.7500 0.1520 x4
O 0.1079 0.7500 0.6721 x4
O 0.1210 0.7500 0.9479 x4
O 0.1351 0.7500 0.4886 x4
O 0.2241 0.7500 0.3192 x4



8.
Starting from DFT lattice parameters and positions (PBE), the X-ray powder pattern of ErAs2RhO8 was simulated for Cu Kα (λ = 1.5418 Å).
Lines closer than 0.1° are merged.

Main lines, low angle first (2θ from 10° to 80°):
2theta  Rel. int.  (hkl)
13.58  16  0 0 1
18.78  89  1 0 0
23.25  60  0 1 1
32.84  100  1 1 0
33.39  98  0 1 2
43.25  17  1 1 2
47.53  55  2 0 2
58.63  19  3 0 0
58.98  44  1 2 2
66.85  19  1 1 4
68.85  17  2 2 0
78.71  18  3 1 2

Cell and atoms:
Lattice parameters (Å, degrees): 5.4548 5.4548 6.5216 90.00 90.00 120.00
Space group P-3m1 (No. 164)
Inequivalent atoms, fractional coordinates:
Er 0.0000 0.0000 0.0000 x1
As 0.3333 0.6667 0.2162 x2
Rh 0.0000 0.0000 0.5000 x1
O 0.1558 0.3115 0.2816 x6
O 0.3333 0.6667 0.9588 x2



9.
Starting from DFT lattice parameters and positions (PBE), the X-ray powder pattern of SrErAs2O8 was simulated for Cu Kα (λ = 1.5418 Å).
Lines closer than 0.1° are merged.

Main lines, low angle first (2θ from 10° to 80°):
2theta  Rel. int.  (hkl)
18.82  11  1 0 1
28.87  100  1 1 2
30.50  17  0 0 4
34.85  20  2 0 0
39.90  6  2 1 1
46.98  29  2 0 4
50.10  12  2 2 0
53.20  18  1 1 6
58.86  27  1 3 2
59.80  12  2 2 4
74.51  8  2 0 8
76.09  13  3 1 6

Cell and atoms:
Lattice parameters (Å, degrees): 5.1494 5.1494 11.7229 90.00 90.00 90.00
Space group I-4 (No. 82)
Inequivalent atoms, fractional coordinates:
Sr 0.0000 0.0000 0.0000 x2
Er 0.0000 0.5000 0.7500 x2
As 0.0000 0.0000 0.5000 x2
As 0.0000 0.5000 0.2500 x2
O 0.1226 0.2497 0.5826 x8
O 0.1515 0.7503 0.1779 x8



10.
Starting from DFT lattice parameters and positions (PBE), the X-ray powder pattern of YErAsO2 was simulated for Cu Kα (λ = 1.5418 Å).
Lines closer than 0.1° are merged.

Main lines, low angle first (2θ from 10° to 80°):
2theta  Rel. int.  (hkl)
13.83  15  0 0 2
24.55  12  1 0 1
31.61  100  1 0 3
33.51  35  1 1 0
42.36  9  0 0 6
44.13  6  1 1 4
48.12  18  2 0 0
55.06  24  1 1 6
58.73  34  2 1 3
66.02  10  2 0 6
70.76  9  1 0 9
79.24  7  3 0 3

Cell and atoms:
Lattice parameters (Å, degrees): 3.7816 3.7816 12.8027 90.00 90.00 90.00
Space group I4mm (No. 107)
Inequivalent atoms, fractional coordinates:
Y 0.0000 0.0000 0.0000 x2
Er 0.0000 0.0000 0.3216 x2
As 0.0000 0.0000 0.6604 x2
O 0.0000 0.5000 0.4083 x4



11.
Starting from DFT lattice parameters and positions (PBE), the X-ray powder pattern of PrErAsP was simulated for Cu Kα (λ = 1.5418 Å).
Lines closer than 0.1° are merged.

Main lines, low angle first (2θ from 10° to 80°):
2theta  Rel. int.  (hkl)
25.34  18  0 0 6
25.48  56  1 0 1
26.52  29  0 1 2
30.38  32  1 0 4
33.01  100  0 1 5
39.24  39  1 0 7
44.25  55  1 1 0
50.34  14  1 0 10
51.70  25  0 2 1
56.30  22  2 0 5
70.64  24  1 1 12
74.26  19  1 2 5

Cell and atoms:
Lattice parameters (Å, degrees): 4.0937 4.0937 21.0898 90.00 90.00 120.00
Space group R3m (No. 160, hexagonal axes)
Inequivalent atoms, fractional coordinates:
Pr 0.0000 0.0000 0.0000 x3
Er 0.0000 0.0000 0.8245 x3
As 0.0000 0.0000 0.2400 x3
P 0.0000 0.0000 0.4176 x3



12.
Starting from DFT lattice parameters and positions (PBE), the X-ray powder pattern of ErTmAsP was simulated for Cu Kα (λ = 1.5418 Å).
Lines closer than 0.1° are merged.

Main lines, low angle first (2θ from 10° to 80°):
2theta  Rel. int.  (hkl)
15.61  2  0 0 1
22.13  2  1 0 0
27.19  49  1 0 1
31.50  100  1 1 0
35.33  1  1 1 1
38.84  1  1 0 2
45.15  74  2 0 0
53.50  24  2 1 1
56.09  26  2 0 2
65.76  12  2 2 0
72.54  10  3 0 1
74.74  33  3 1 0

Cell and atoms:
Lattice parameters (Å, degrees): 4.0172 4.0172 5.6781 90.00 90.00 90.00
Space group P4/mmm (No. 123)
Inequivalent atoms, fractional coordinates:
Er 0.0000 0.0000 0.0000 x1
Tm 0.5000 0.5000 0.5000 x1
As 0.5000 0.5000 0.0000 x1
P 0.0000 0.0000 0.5000 x1